Starting from DFT lattice parameters and positions (PBE), the powder X-ray diffraction pattern of La3Pr6Sn was calculated for λ = 1.5418 Å (Cu Kα).
Peak positions follow from Bragg's law for the DFT cell and can differ from measured ones.

Structure:
```
La3Pr6Sn
1.0
11.217 0.000 0.000
0.000 12.184 0.000
0.000 0.000 5.262
La Pr Sn
6 12 2
Direct
0.000 0.000 0.000 La
0.101 0.227 0.500 La
0.399 0.727 0.000 La
0.500 0.500 0.500 La
0.601 0.273 0.000 La
0.899 0.773 0.500 La
0.094 0.745 0.000 Pr
0.177 0.574 0.500 Pr
0.224 0.890 0.500 Pr
0.276 0.390 0.000 Pr
0.323 0.074 0.000 Pr
0.406 0.245 0.500 Pr
0.594 0.755 0.500 Pr
0.677 0.926 0.000 Pr
0.724 0.610 0.000 Pr
0.776 0.110 0.500 Pr
0.823 0.426 0.500 Pr
0.906 0.255 0.000 Pr
0.000 0.500 0.000 Sn
0.500 0.000 0.500 Sn
```

Peak list (10 most intense, 10° ≤ 2θ ≤ 80°, low angle first)
(hkl)  d (Å)  2θ (°)  I/Imax
1 3 1  3.091  28.89  100.0
3 0 1  3.048  29.31  43.5
3 1 1  2.957  30.23  72.0
3 2 1  2.726  32.85  22.2
2 4 0  2.677  33.48  28.4
0 0 2  2.631  34.08  48.5
4 2 0  2.547  35.23  21.0
2 4 2  1.876  48.52  20.1
4 2 2  1.830  49.83  15.8
1 3 3  1.594  57.85  14.2